Record 1
Starting from a cell relaxed with PBE, the PXRD pattern of SrIn2Pt9 was calculated for Cu Kα (weighted mean of Kα1 and Kα2).

Crystal structure
```
SrIn2Pt9
1.0
2.743 1.584 8.632
-2.743 1.584 8.632
0.000 -3.168 8.632
Sr In Pt
1 2 9
Direct
0.000 0.000 0.000
0.141 0.141 0.141
0.859 0.859 0.859
0.080 0.588 0.588
0.333 0.333 0.333
0.412 0.412 0.920
0.412 0.920 0.412
0.500 0.500 0.500
0.588 0.080 0.588
0.588 0.588 0.080
0.667 0.667 0.667
0.920 0.412 0.412
```

Top 10 peaks for 2θ from 10° to 80°, sorted by position:
d (Å)  2θ/deg  intensity
4.673  19.0  46
2.743  32.6  15
2.366  38.0  27
2.315  38.9  100
2.230  40.4  18
2.159  41.8  86
2.109  42.9  21
1.999  45.4  23
1.487  62.5  25
1.372  68.4  29

Record 2
Starting from a cell relaxed with PBE, the PXRD pattern of BeMo2I was calculated for Cu Kα (weighted mean of Kα1 and Kα2).

Crystal structure
```
BeMo2I
1.0
6.302 0.000 0.000
0.000 6.302 0.000
0.000 0.000 6.302
Be Mo I
4 8 4
Direct
0.000 0.000 0.000
0.000 0.500 0.500
0.500 0.000 0.500
0.500 0.500 0.000
0.250 0.250 0.250
0.250 0.250 0.750
0.250 0.750 0.250
0.250 0.750 0.750
0.750 0.250 0.250
0.750 0.250 0.750
0.750 0.750 0.250
0.750 0.750 0.750
0.000 0.000 0.500
0.000 0.500 0.000
0.500 0.000 0.000
0.500 0.500 0.500
```

Top 10 peaks for 2θ from 10° to 80°, sorted by position:
d (Å)  2θ/deg  intensity
3.638  24.5  34
3.151  28.3  5
2.228  40.5  100
1.900  47.9  16
1.819  50.1  1
1.575  58.6  16
1.446  64.5  7
1.409  66.3  2
1.286  73.6  33
1.213  78.9  5